Record 1
This entry pairs a crystal structure of Pm2SmUN4 with its calculated PXRD pattern. Radiation: Cu Kα (λ = 1.5418 Å). Structure: a structure optimized by DFT (GGA-PBE).
Lines closer than 0.1° are merged.

Largest 10 diffraction maxima, sorted by position, 15 to 90 degrees two-theta:
2θ = 30.88°, d = 2.896 Å, rel. 100; 2θ = 35.72°, d = 2.514 Å, rel. 47; 2θ = 35.97°, d = 2.497 Å, rel. 23; 2θ = 51.40°, d = 1.778 Å, rel. 16; 2θ = 51.54°, d = 1.773 Å, rel. 16; 2θ = 51.65°, d = 1.770 Å, rel. 16; 2θ = 61.15°, d = 1.515 Å, rel. 23; 2θ = 61.49°, d = 1.508 Å, rel. 12; 2θ = 64.29°, d = 1.449 Å, rel. 12; 2θ = 86.60°, d = 1.124 Å, rel. 11

Crystal structure
Unit cell a=6.121 b=3.557 c=6.137 alpha=90.00 beta=109.13 gamma=90.00
Fractional positions:
1 Pm 0.000 0.000 0.000
2 Pm 0.500 0.500 0.000
3 Sm 0.000 0.500 0.500
4 U 0.500 0.000 0.500
5 N 0.273 0.000 0.724
6 N 0.278 0.500 0.280
7 N 0.722 0.500 0.720
8 N 0.727 0.000 0.276


Record 2
This entry pairs a crystal structure of Li2SmMg5 with its calculated PXRD pattern. Radiation: Cu Kα (λ = 1.5418 Å). Structure: a structure optimized by DFT (GGA-PBE).
Lines closer than 0.1° are merged.

Largest 10 diffraction maxima, sorted by position, 15 to 90 degrees two-theta:
2θ = 23.92°, d = 3.720 Å, rel. 59; 2θ = 24.11°, d = 3.691 Å, rel. 33; 2θ = 28.75°, d = 3.105 Å, rel. 19; 2θ = 29.25°, d = 3.054 Å, rel. 25; 2θ = 32.45°, d = 2.759 Å, rel. 30; 2θ = 34.03°, d = 2.635 Å, rel. 87; 2θ = 35.34°, d = 2.540 Å, rel. 100; 2θ = 38.00°, d = 2.368 Å, rel. 21; 2θ = 52.84°, d = 1.733 Å, rel. 26; 2θ = 61.70°, d = 1.503 Å, rel. 17

Crystal structure
Unit cell a=7.828 b=7.828 c=7.828 alpha=155.76 beta=105.54 gamma=79.65
Fractional positions:
1 Li 0.249 0.249 0.000
2 Li 0.751 0.751 0.000
3 Sm 0.000 0.500 0.500
4 Mg 0.136 0.865 0.272
5 Mg 0.407 0.135 0.272
6 Mg 0.500 0.500 0.000
7 Mg 0.593 0.865 0.728
8 Mg 0.864 0.135 0.728


Record 3
This entry pairs a crystal structure of Hf2Cu3Pd8 with its calculated PXRD pattern. Radiation: Cu Kα (λ = 1.5418 Å). Structure: a structure optimized by DFT (GGA-PBE).
Lines closer than 0.1° are merged.

Largest 10 diffraction maxima, sorted by position, 15 to 90 degrees two-theta:
2θ = 23.43°, d = 3.797 Å, rel. 20; 2θ = 34.43°, d = 2.605 Å, rel. 33; 2θ = 35.78°, d = 2.510 Å, rel. 39; 2θ = 38.40°, d = 2.344 Å, rel. 20; 2θ = 40.53°, d = 2.226 Å, rel. 100; 2θ = 43.21°, d = 2.094 Å, rel. 33; 2θ = 45.32°, d = 2.001 Å, rel. 31; 2θ = 46.15°, d = 1.967 Å, rel. 24; 2θ = 65.83°, d = 1.419 Å, rel. 24; 2θ = 72.59°, d = 1.302 Å, rel. 24

Crystal structure
Unit cell a=9.848 b=9.848 c=9.848 alpha=30.67 beta=30.67 gamma=30.67
Fractional positions:
1 Hf 0.130 0.130 0.130
2 Hf 0.870 0.870 0.870
3 Cu 0.309 0.309 0.309
4 Cu 0.500 0.500 0.500
5 Cu 0.691 0.691 0.691
6 Pd 0.220 0.220 0.220
7 Pd 0.220 0.220 0.718
8 Pd 0.220 0.718 0.220
9 Pd 0.282 0.780 0.780
10 Pd 0.718 0.220 0.220
11 Pd 0.780 0.282 0.780
12 Pd 0.780 0.780 0.282
13 Pd 0.780 0.780 0.780


Record 4
This entry pairs a crystal structure of Na3ErU3Se8 with its calculated PXRD pattern. Radiation: Cu Kα (λ = 1.5418 Å). Structure: a structure optimized by DFT (GGA-PBE).
Lines closer than 0.1° are merged.

Largest 10 diffraction maxima, sorted by position, 15 to 90 degrees two-theta:
2θ = 25.25°, d = 3.527 Å, rel. 35; 2θ = 30.12°, d = 2.967 Å, rel. 100; 2θ = 32.72°, d = 2.737 Å, rel. 13; 2θ = 38.91°, d = 2.315 Å, rel. 20; 2θ = 42.38°, d = 2.133 Å, rel. 38; 2θ = 43.84°, d = 2.065 Å, rel. 36; 2θ = 45.77°, d = 1.982 Å, rel. 20; 2θ = 54.11°, d = 1.695 Å, rel. 19; 2θ = 69.98°, d = 1.344 Å, rel. 16; 2θ = 72.10°, d = 1.310 Å, rel. 17

Crystal structure
Unit cell a=8.540 b=8.540 c=8.540 alpha=57.84 beta=57.84 gamma=57.84
Fractional positions:
1 Na 0.000 0.500 0.500
2 Na 0.500 0.000 0.500
3 Na 0.500 0.500 0.000
4 Er 0.500 0.500 0.500
5 U 0.000 0.000 0.500
6 U 0.000 0.500 0.000
7 U 0.500 0.000 0.000
8 Se 0.244 0.741 0.741
9 Se 0.245 0.245 0.245
10 Se 0.259 0.259 0.756
11 Se 0.259 0.756 0.259
12 Se 0.741 0.244 0.741
13 Se 0.741 0.741 0.244
14 Se 0.755 0.755 0.755
15 Se 0.756 0.259 0.259


Record 5
This entry pairs a crystal structure of ZrPbO4 with its calculated PXRD pattern. Radiation: Cu Kα (λ = 1.5418 Å). Structure: a structure optimized by DFT (GGA-PBE).
Lines closer than 0.1° are merged.

Largest 10 diffraction maxima, sorted by position, 15 to 90 degrees two-theta:
2θ = 18.15°, d = 4.887 Å, rel. 25; 2θ = 25.29°, d = 3.521 Å, rel. 100; 2θ = 31.31°, d = 2.857 Å, rel. 16; 2θ = 31.91°, d = 2.805 Å, rel. 89; 2θ = 36.08°, d = 2.490 Å, rel. 26; 2θ = 48.92°, d = 1.862 Å, rel. 71; 2θ = 51.94°, d = 1.760 Å, rel. 17; 2θ = 58.63°, d = 1.575 Å, rel. 17; 2θ = 60.56°, d = 1.529 Å, rel. 18; 2θ = 62.26°, d = 1.491 Å, rel. 21

Crystal structure
Unit cell a=6.026 b=6.026 c=6.026 alpha=108.50 beta=108.50 gamma=111.44
Fractional positions:
1 Zr 0.000 0.000 0.000
2 Zr 0.750 0.250 0.500
3 Pb 0.257 0.757 0.500
4 Pb 0.507 0.507 0.000
5 O 0.188 0.497 0.692
6 O 0.247 0.055 0.808
7 O 0.247 0.438 0.192
8 O 0.317 0.014 0.303
9 O 0.710 0.014 0.697
10 O 0.764 0.567 0.803
11 O 0.764 0.960 0.197
12 O 0.805 0.497 0.308


Record 6
This entry pairs a crystal structure of Fe5Co2NiRh2 with its calculated PXRD pattern. Radiation: Cu Kα (λ = 1.5418 Å). Structure: a structure optimized by DFT (GGA-PBE).
Lines closer than 0.1° are merged.

Largest 10 diffraction maxima, sorted by position, 15 to 90 degrees two-theta:
2θ = 32.13°, d = 2.786 Å, rel. 9; 2θ = 33.99°, d = 2.637 Å, rel. 24; 2θ = 39.11°, d = 2.303 Å, rel. 28; 2θ = 42.23°, d = 2.140 Å, rel. 100; 2θ = 45.70°, d = 1.985 Å, rel. 47; 2θ = 46.59°, d = 1.949 Å, rel. 44; 2θ = 47.10°, d = 1.930 Å, rel. 13; 2θ = 47.84°, d = 1.901 Å, rel. 36; 2θ = 68.31°, d = 1.373 Å, rel. 26; 2θ = 85.25°, d = 1.138 Å, rel. 11

Crystal structure
Unit cell a=8.186 b=8.186 c=3.802 alpha=90.00 beta=90.00 gamma=90.00
Fractional positions:
1 Fe 0.000 0.500 0.000
2 Fe 0.067 0.201 0.000
3 Fe 0.201 0.933 0.000
4 Fe 0.299 0.433 0.000
5 Fe 0.433 0.701 0.000
6 Fe 0.500 0.000 0.000
7 Fe 0.567 0.299 0.000
8 Fe 0.701 0.567 0.000
9 Fe 0.799 0.067 0.000
10 Fe 0.933 0.799 0.000
11 Co 0.115 0.385 0.500
12 Co 0.385 0.885 0.500
13 Co 0.615 0.115 0.500
14 Co 0.885 0.615 0.500
15 Ni 0.000 0.000 0.500
16 Ni 0.500 0.500 0.500
17 Rh 0.180 0.680 0.500
18 Rh 0.320 0.180 0.500
19 Rh 0.680 0.820 0.500
20 Rh 0.820 0.320 0.500


Record 7
This entry pairs a crystal structure of PaCo5As3 with its calculated PXRD pattern. Radiation: Cu Kα (λ = 1.5418 Å). Structure: a structure optimized by DFT (GGA-PBE).
Lines closer than 0.1° are merged.

Largest 10 diffraction maxima, sorted by position, 15 to 90 degrees two-theta:
2θ = 29.92°, d = 2.986 Å, rel. 59; 2θ = 30.10°, d = 2.969 Å, rel. 42; 2θ = 33.29°, d = 2.691 Å, rel. 63; 2θ = 34.21°, d = 2.621 Å, rel. 40; 2θ = 34.46°, d = 2.603 Å, rel. 79; 2θ = 36.70°, d = 2.448 Å, rel. 95; 2θ = 40.04°, d = 2.252 Å, rel. 65; 2θ = 42.67°, d = 2.119 Å, rel. 48; 2θ = 47.80°, d = 1.903 Å, rel. 100; 2θ = 50.65°, d = 1.802 Å, rel. 52

Crystal structure
Unit cell a=6.312 b=6.312 c=11.876 alpha=90.00 beta=90.00 gamma=146.81
Fractional positions:
1 Pa 0.121 0.879 0.750
2 Pa 0.879 0.121 0.250
3 Co 0.000 0.000 0.000
4 Co 0.000 0.000 0.500
5 Co 0.197 0.803 0.071
6 Co 0.197 0.803 0.429
7 Co 0.462 0.538 0.648
8 Co 0.462 0.538 0.852
9 Co 0.538 0.462 0.148
10 Co 0.538 0.462 0.352
11 Co 0.803 0.197 0.571
12 Co 0.803 0.197 0.929
13 As 0.129 0.871 0.250
14 As 0.378 0.622 0.036
15 As 0.378 0.622 0.464
16 As 0.622 0.378 0.536
17 As 0.622 0.378 0.964
18 As 0.871 0.129 0.750


Record 8
This entry pairs a crystal structure of Pr2YI with its calculated PXRD pattern. Radiation: Cu Kα (λ = 1.5418 Å). Structure: a structure optimized by DFT (GGA-PBE).
Lines closer than 0.1° are merged.

Largest 10 diffraction maxima, sorted by position, 15 to 90 degrees two-theta:
2θ = 26.96°, d = 3.307 Å, rel. 19; 2θ = 27.38°, d = 3.257 Å, rel. 40; 2θ = 30.17°, d = 2.962 Å, rel. 98; 2θ = 32.91°, d = 2.722 Å, rel. 39; 2θ = 33.09°, d = 2.707 Å, rel. 100; 2θ = 34.81°, d = 2.578 Å, rel. 20; 2θ = 47.37°, d = 1.919 Å, rel. 47; 2θ = 58.89°, d = 1.568 Å, rel. 43; 2θ = 59.00°, d = 1.566 Å, rel. 19; 2θ = 60.65°, d = 1.527 Å, rel. 17

Crystal structure
Unit cell a=11.110 b=11.110 c=11.110 alpha=19.89 beta=19.89 gamma=19.89
Fractional positions:
1 Pr 0.000 0.000 0.000
2 Pr 0.155 0.155 0.155
3 Y 0.578 0.578 0.578
4 I 0.411 0.411 0.411